(1)
Calculated powder diffractogram
Compound: Rh2W3C
Radiation: λ = 1.5418 Å (Cu Kα)
Structure: a structure optimized by DFT (PBE)
Peak positions follow from Bragg's law for the DFT cell and can differ from measured ones.

Structural model:
```
Rh2W3C
1.0
6.885 0.000 0.000
0.000 6.885 0.000
0.000 0.000 6.885
Rh W C
8 12 4
direct
0.062 0.062 0.062 Rh
0.188 0.812 0.312 Rh
0.312 0.188 0.812 Rh
0.438 0.938 0.562 Rh
0.562 0.438 0.938 Rh
0.688 0.688 0.688 Rh
0.812 0.312 0.188 Rh
0.938 0.562 0.438 Rh
0.049 0.875 0.701 W
0.125 0.201 0.451 W
0.201 0.451 0.125 W
0.299 0.549 0.625 W
0.375 0.799 0.951 W
0.451 0.125 0.201 W
0.549 0.625 0.299 W
0.625 0.299 0.549 W
0.701 0.049 0.875 W
0.799 0.951 0.375 W
0.875 0.701 0.049 W
0.951 0.375 0.799 W
0.125 0.625 0.875 C
0.375 0.375 0.375 C
0.625 0.875 0.125 C
0.875 0.125 0.625 C
```

Peak list (10 most intense, 5° ≤ 2θ ≤ 70°, by angle)
2θ (°)	Rel. int.
29.00	10
31.84	5
39.26	100
41.47	58
43.60	27
49.54	4
56.73	10
60.10	8
68.09	6
69.63	26

=====

(2)
Calculated powder diffractogram
Compound: Er3Mg2Tc
Radiation: λ = 1.5418 Å (Cu Kα)
Structure: a structure optimized by DFT (PBE)
Peak positions follow from Bragg's law for the DFT cell and can differ from measured ones.

Structural model:
```
Er3Mg2Tc
1.0
2.502 -7.416 0.000
2.502 7.416 0.000
0.000 0.000 7.927
Er Mg Tc
6 4 2
direct
0.000 0.000 0.217 Er
0.000 0.000 0.783 Er
0.325 0.675 0.208 Er
0.325 0.675 0.792 Er
0.675 0.325 0.208 Er
0.675 0.325 0.792 Er
0.166 0.834 0.500 Mg
0.500 0.500 0.000 Mg
0.500 0.500 0.500 Mg
0.834 0.166 0.500 Mg
0.160 0.840 0.000 Tc
0.840 0.160 0.000 Tc
```

Peak list (10 most intense, 5° ≤ 2θ ≤ 70°, by angle)
2θ (°)	Rel. int.
11.16	38
22.43	17
25.33	36
34.08	100
35.90	27
36.34	24
42.79	31
52.01	17
63.36	17
63.95	14

=====

(3)
Calculated powder diffractogram
Compound: Dy3Pb7
Radiation: λ = 1.5418 Å (Cu Kα)
Structure: a structure optimized by DFT (PBE)
Peak positions follow from Bragg's law for the DFT cell and can differ from measured ones.

Structural model:
```
Dy3Pb7
1.0
10.108 0.000 0.000
-5.054 8.754 0.000
0.000 0.000 6.907
Dy Pb
6 14
direct
0.210 0.420 0.000 Dy
0.210 0.790 0.000 Dy
0.420 0.210 0.500 Dy
0.580 0.790 0.000 Dy
0.790 0.210 0.500 Dy
0.790 0.580 0.500 Dy
0.056 0.528 0.320 Pb
0.122 0.244 0.505 Pb
0.122 0.878 0.505 Pb
0.244 0.122 0.005 Pb
0.333 0.667 0.652 Pb
0.472 0.528 0.320 Pb
0.472 0.944 0.320 Pb
0.528 0.056 0.820 Pb
0.528 0.472 0.820 Pb
0.667 0.333 0.152 Pb
0.756 0.878 0.505 Pb
0.878 0.122 0.005 Pb
0.878 0.756 0.005 Pb
0.944 0.472 0.820 Pb
```

Peak list (10 most intense, 5° ≤ 2θ ≤ 70°, by angle)
2θ (°)	Rel. int.
27.77	22
29.95	52
30.64	16
33.04	63
33.33	100
35.52	29
40.49	26
49.51	14
54.47	19
61.24	32

=====

(4)
Calculated powder diffractogram
Compound: Fe6Si7
Radiation: λ = 1.5418 Å (Cu Kα)
Structure: a structure optimized by DFT (PBE)
Peak positions follow from Bragg's law for the DFT cell and can differ from measured ones.

Structural model:
```
Fe6Si7
1.0
2.382 1.375 7.996
-2.382 1.375 7.996
0.000 -2.750 7.996
Fe Si
6 7
direct
0.051 0.051 0.051 Fe
0.173 0.173 0.173 Fe
0.335 0.335 0.335 Fe
0.665 0.665 0.665 Fe
0.827 0.827 0.827 Fe
0.949 0.949 0.949 Fe
0.077 0.583 0.583 Si
0.417 0.417 0.923 Si
0.417 0.923 0.417 Si
0.500 0.500 0.500 Si
0.583 0.077 0.583 Si
0.583 0.583 0.077 Si
0.923 0.417 0.417 Si
```

Peak list (10 most intense, 5° ≤ 2θ ≤ 70°, by angle)
2θ (°)	Rel. int.
11.06	14
37.06	30
37.77	100
43.65	23
44.07	31
44.27	90
45.37	19
51.73	31
53.96	31
68.21	15

=====

(5)
Calculated powder diffractogram
Compound: CePu2Ga2Au2
Radiation: λ = 1.5418 Å (Cu Kα)
Structure: a structure optimized by DFT (PBE)
Peak positions follow from Bragg's law for the DFT cell and can differ from measured ones.

Structural model:
```
CePu2Ga2Au2
1.0
2.362 1.364 8.112
-2.362 1.364 8.112
0.000 -2.727 8.112
Ce Pu Ga Au
1 2 2 2
direct
0.000 0.000 0.000 Ce
0.131 0.131 0.131 Pu
0.869 0.869 0.869 Pu
0.262 0.262 0.262 Ga
0.738 0.738 0.738 Ga
0.403 0.403 0.403 Au
0.597 0.597 0.597 Au
```

Peak list (10 most intense, 5° ≤ 2θ ≤ 70°, by angle)
2θ (°)	Rel. int.
26.25	46
33.84	65
36.82	49
38.10	100
46.68	13
51.86	20
54.03	17
66.14	19
68.02	17
68.85	18

=====

(6)
Calculated powder diffractogram
Compound: LaTbYTm3
Radiation: λ = 1.5418 Å (Cu Kα)
Structure: a structure optimized by DFT (PBE)
Peak positions follow from Bragg's law for the DFT cell and can differ from measured ones.

Structural model:
```
LaTbYTm3
1.0
2.869 -5.918 0.000
2.869 5.918 0.000
0.000 0.000 11.423
La Tb Y Tm
2 2 2 6
direct
0.016 0.984 0.750 La
0.984 0.016 0.250 La
0.500 0.500 0.000 Tb
0.500 0.500 0.500 Tb
0.325 0.675 0.750 Y
0.675 0.325 0.250 Y
0.176 0.824 0.014 Tm
0.176 0.824 0.486 Tm
0.341 0.659 0.250 Tm
0.659 0.341 0.750 Tm
0.824 0.176 0.514 Tm
0.824 0.176 0.986 Tm
```

Peak list (10 most intense, 5° ≤ 2θ ≤ 70°, by angle)
2θ (°)	Rel. int.
31.18	27
31.32	26
31.67	100
44.78	19
46.00	8
55.79	20
55.97	18
56.67	17
65.02	3
66.15	11

=====

(7)
Calculated powder diffractogram
Compound: Sm2TlS
Radiation: λ = 1.5418 Å (Cu Kα)
Structure: a structure optimized by DFT (PBE)
Peak positions follow from Bragg's law for the DFT cell and can differ from measured ones.

Structural model:
```
Sm2TlS
1.0
1.953 1.128 8.268
-1.953 1.128 8.268
0.000 -2.255 8.268
Sm Tl S
2 1 1
direct
0.000 0.000 0.000 Sm
0.202 0.202 0.202 Sm
0.434 0.434 0.434 Tl
0.602 0.602 0.602 S
```

Peak list (10 most intense, 5° ≤ 2θ ≤ 70°, by angle)
2θ (°)	Rel. int.
26.59	30
27.33	21
30.09	68
32.02	100
32.49	25
36.73	24
45.34	15
46.49	46
57.57	19
57.86	30

=====

(8)
Calculated powder diffractogram
Compound: Tb2TmO4
Radiation: λ = 1.5418 Å (Cu Kα)
Structure: a structure optimized by DFT (PBE)
Peak positions follow from Bragg's law for the DFT cell and can differ from measured ones.

Structural model:
```
Tb2TmO4
1.0
5.834 -1.719 0.000
5.834 1.719 0.000
-2.739 0.000 5.227
Tb Tm O
2 1 4
direct
0.197 0.197 0.196 Tb
0.803 0.803 0.804 Tb
0.500 0.500 0.500 Tm
0.142 0.142 0.521 O
0.369 0.369 0.080 O
0.631 0.631 0.920 O
0.858 0.858 0.479 O
```

Peak list (10 most intense, 5° ≤ 2θ ≤ 70°, by angle)
2θ (°)	Rel. int.
29.41	44
30.09	100
30.33	50
30.67	43
36.93	55
47.66	29
49.34	27
53.28	15
53.73	27
62.55	13

=====

(9)
Calculated powder diffractogram
Compound: NaScTl2
Radiation: λ = 1.5418 Å (Cu Kα)
Structure: a structure optimized by DFT (PBE)
Peak positions follow from Bragg's law for the DFT cell and can differ from measured ones.

Structural model:
```
NaScTl2
1.0
1.748 1.009 10.129
-1.748 1.009 10.129
0.000 -2.019 10.129
Na Sc Tl
1 1 2
direct
0.000 0.000 0.000 Na
0.500 0.500 0.500 Sc
0.246 0.246 0.246 Tl
0.754 0.754 0.754 Tl
```

Peak list (10 most intense, 5° ≤ 2θ ≤ 70°, by angle)
2θ (°)	Rel. int.
17.51	67
30.09	57
31.81	100
35.45	23
38.00	61
42.13	22
52.33	25
55.61	21
57.26	17
64.80	24

=====

(10)
Calculated powder diffractogram
Compound: Rb3ZrSe3
Radiation: λ = 1.5418 Å (Cu Kα)
Structure: a structure optimized by DFT (PBE)
Peak positions follow from Bragg's law for the DFT cell and can differ from measured ones.

Structural model:
```
Rb3ZrSe3
1.0
4.665 -7.122 0.000
4.665 7.122 0.000
-2.014 0.000 8.175
Rb Zr Se
6 2 6
direct
0.172 0.828 0.000 Rb
0.266 0.734 0.500 Rb
0.390 0.390 0.142 Rb
0.610 0.610 0.858 Rb
0.734 0.266 0.500 Rb
0.828 0.172 0.000 Rb
0.159 0.159 0.638 Zr
0.841 0.841 0.362 Zr
0.110 0.110 0.315 Se
0.146 0.441 0.774 Se
0.441 0.146 0.774 Se
0.559 0.854 0.226 Se
0.854 0.559 0.226 Se
0.890 0.890 0.685 Se
```

Peak list (10 most intense, 5° ≤ 2θ ≤ 70°, by angle)
2θ (°)	Rel. int.
14.18	36
24.86	100
25.12	22
25.63	23
28.57	29
29.65	51
32.20	40
32.58	26
35.23	27
41.85	23

=====

(11)
Calculated powder diffractogram
Compound: Pr3Ga4Au
Radiation: λ = 1.5418 Å (Cu Kα)
Structure: a structure optimized by DFT (PBE)
Peak positions follow from Bragg's law for the DFT cell and can differ from measured ones.

Structural model:
```
Pr3Ga4Au
1.0
-2.365 3.356 6.653
2.365 -3.356 6.653
2.365 3.356 -6.653
Pr Ga Au
3 4 1
direct
0.000 0.000 0.000 Pr
0.319 0.819 0.500 Pr
0.681 0.181 0.500 Pr
0.082 0.382 0.700 Ga
0.318 0.618 0.700 Ga
0.682 0.382 0.300 Ga
0.918 0.618 0.300 Ga
0.500 0.500 0.000 Au
```

Peak list (10 most intense, 5° ≤ 2θ ≤ 70°, by angle)
2θ (°)	Rel. int.
13.31	15
26.56	14
26.67	100
35.60	41
38.06	52
38.66	32
46.97	30
49.25	15
54.93	14
60.63	15